(1)
Computed XRD peak list
Compound: Pr2P2IrOsN2
Radiation: Cu Kα (weighted mean of Kα1 and Kα2)
Structure: DFT lattice parameters and positions (PBE)
Kinematic intensities with the Lorentz-polarization factor, no thermal factor.

The 12 most intense peaks (10° ≤ 2θ ≤ 80°), by intensity:
| Position (°2θ) | I/Imax |
| --- | --- |
| 32.9 | 100 |
| 10.2 | 65 |
| 37.6 | 64 |
| 30.2 | 61 |
| 52.9 | 56 |
| 44.7 | 50 |
| 20.5 | 39 |
| 30.9 | 36 |
| 55.4 | 29 |
| 24.2 | 26 |
| 54.9 | 22 |
| 74.9 | 20 |

Structure:
abc: 4.0508 4.0508 8.6790
angles: 90.00 90.00 90.00
Element x y z (fractional)
Pr 0.0000 0.5000 0.1400
Pr 0.5000 0.0000 0.8600
P 0.0000 0.5000 0.6405
P 0.5000 0.0000 0.3595
Ir 0.0000 0.0000 0.5000
Os 0.5000 0.5000 0.5000
N 0.0000 0.0000 0.0000
N 0.5000 0.5000 0.0000

***

(2)
Computed XRD peak list
Compound: TcTe2
Radiation: Cu Kα (weighted mean of Kα1 and Kα2)
Structure: DFT lattice parameters and positions (PBE)
Kinematic intensities with the Lorentz-polarization factor, no thermal factor.

The 12 most intense peaks (10° ≤ 2θ ≤ 80°), by intensity:
| Position (°2θ) | I/Imax |
| --- | --- |
| 35.8 | 100 |
| 28.7 | 83 |
| 41.8 | 70 |
| 12.7 | 63 |
| 50.3 | 61 |
| 33.3 | 58 |
| 75.8 | 36 |
| 29.7 | 30 |
| 45.2 | 29 |
| 25.6 | 23 |
| 52.7 | 22 |
| 63.3 | 19 |

Structure:
abc: 3.6273 3.6273 20.8388
angles: 90.00 90.00 120.00
Element x y z (fractional)
Tc 0.0000 0.0000 0.0000
Tc 0.3333 0.6667 0.6667
Tc 0.6667 0.3333 0.3333
Te 0.0000 0.0000 0.2513
Te 0.0000 0.0000 0.4156
Te 0.3333 0.6667 0.0823
Te 0.3333 0.6667 0.9179
Te 0.6667 0.3333 0.5846
Te 0.6667 0.3333 0.7489

***

(3)
Computed XRD peak list
Compound: Dy2Ho2CBr5
Radiation: Cu Kα (weighted mean of Kα1 and Kα2)
Structure: DFT lattice parameters and positions (PBE)
Kinematic intensities with the Lorentz-polarization factor, no thermal factor.

The 12 most intense peaks (10° ≤ 2θ ≤ 80°), by intensity:
| Position (°2θ) | I/Imax |
| --- | --- |
| 32.3 | 100 |
| 11.2 | 55 |
| 31.0 | 45 |
| 35.1 | 33 |
| 10.2 | 29 |
| 45.3 | 27 |
| 45.4 | 26 |
| 31.7 | 25 |
| 47.9 | 18 |
| 29.0 | 18 |
| 58.2 | 16 |
| 34.0 | 15 |

Structure:
abc: 9.0772 9.0772 8.1121
angles: 102.72 102.72 24.14
Element x y z (fractional)
Dy 0.1383 0.1383 0.0717
Dy 0.8617 0.8617 0.9283
Ho 0.4992 0.4992 0.2004
Ho 0.5008 0.5008 0.7996
C 0.0000 0.0000 0.0000
Br 0.0000 0.0000 0.5000
Br 0.3301 0.3301 0.1718
Br 0.3360 0.3360 0.6603
Br 0.6640 0.6640 0.3397
Br 0.6699 0.6699 0.8282

***

(4)
Computed XRD peak list
Compound: PtO
Radiation: Cu Kα (weighted mean of Kα1 and Kα2)
Structure: DFT lattice parameters and positions (PBE)
Kinematic intensities with the Lorentz-polarization factor, no thermal factor.

The 7 most intense peaks (10° ≤ 2θ ≤ 80°), by intensity:
| Position (°2θ) | I/Imax |
| --- | --- |
| 33.2 | 100 |
| 69.8 | 29 |
| 59.4 | 25 |
| 53.8 | 25 |
| 41.0 | 20 |
| 69.7 | 3 |
| 28.7 | 1 |

Structure:
abc: 3.1104 3.1104 5.3980
angles: 90.00 90.00 90.00
Element x y z (fractional)
Pt 0.0000 0.5000 0.0000
Pt 0.5000 0.0000 0.5000
O 0.0000 0.0000 0.2500
O 0.0000 0.0000 0.7500

***

(5)
Computed XRD peak list
Compound: LiScAl2Cu4
Radiation: Cu Kα (weighted mean of Kα1 and Kα2)
Structure: DFT lattice parameters and positions (PBE)
Kinematic intensities with the Lorentz-polarization factor, no thermal factor.

The 12 most intense peaks (10° ≤ 2θ ≤ 80°), by intensity:
| Position (°2θ) | I/Imax |
| --- | --- |
| 42.1 | 100 |
| 42.5 | 48 |
| 29.7 | 27 |
| 77.5 | 27 |
| 29.2 | 15 |
| 76.7 | 15 |
| 61.7 | 14 |
| 52.4 | 10 |
| 60.5 | 8 |
| 34.1 | 6 |
| 26.4 | 4 |
| 68.8 | 4 |

Structure:
abc: 7.4525 7.4525 7.4525
angles: 132.41 132.41 69.58
Element x y z (fractional)
Li 0.3750 0.6250 0.7500
Li 0.6250 0.3750 0.2500
Sc 0.1250 0.8750 0.2500
Sc 0.8750 0.1250 0.7500
Al 0.1196 0.3696 0.7500
Al 0.3696 0.1196 0.2500
Al 0.6304 0.8804 0.7500
Al 0.8804 0.6304 0.2500
Cu 0.0000 0.2697 0.2697
Cu 0.0000 0.7303 0.7303
Cu 0.2697 0.0000 0.7697
Cu 0.2697 0.5000 0.2697
Cu 0.5000 0.2697 0.7697
Cu 0.5000 0.7303 0.2303
Cu 0.7303 0.0000 0.2303
Cu 0.7303 0.5000 0.7303

***

(6)
Computed XRD peak list
Compound: CuCl2
Radiation: Cu Kα (weighted mean of Kα1 and Kα2)
Structure: DFT lattice parameters and positions (PBE)
Kinematic intensities with the Lorentz-polarization factor, no thermal factor.

The 12 most intense peaks (10° ≤ 2θ ≤ 80°), by intensity:
| Position (°2θ) | I/Imax |
| --- | --- |
| 26.3 | 100 |
| 15.7 | 91 |
| 29.7 | 81 |
| 48.6 | 69 |
| 34.8 | 48 |
| 39.3 | 32 |
| 51.5 | 29 |
| 58.7 | 19 |
| 47.8 | 19 |
| 60.6 | 16 |
| 63.6 | 15 |
| 54.2 | 13 |

Structure:
abc: 3.5506 3.5506 11.2695
angles: 90.00 90.00 90.00
Element x y z (fractional)
Cu 0.2500 0.7500 0.2500
Cu 0.7500 0.2500 0.7500
Cl 0.2500 0.2500 0.1278
Cl 0.2500 0.2500 0.6278
Cl 0.7500 0.7500 0.3722
Cl 0.7500 0.7500 0.8722